1.
For Tb2In3Sn3, a DFT-relaxed cell (GGA-PBE, the Materials Project) gives the theoretical X-ray diffraction stick pattern in this record (Cu Kα).
Kinematic intensities with the Lorentz-polarization factor, no thermal factor.

Largest 10 diffraction maxima, sorted by position, 2θ = 5–70°:
Position (°2θ), Rel. int.
33.12, 100.0
38.29, 16.9
38.41, 16.7
38.58, 16.5
55.36, 11.5
55.53, 22.9
65.96, 13.7
66.13, 13.4
66.36, 13.4
69.50, 11.7

Structure:
```
Tb2In3Sn3
1.0
4.667 0.000 0.000
0.000 4.702 0.000
0.000 0.000 9.374
Tb In Sn
2 3 3
direct
0.000 0.000 0.245
0.000 0.000 0.755
0.000 0.500 0.500
0.500 0.500 0.252
0.500 0.500 0.748
0.000 0.500 0.000
0.500 0.000 0.000
0.500 0.000 0.500
```


2.
For InSn2Te3, a DFT-relaxed cell (GGA-PBE, the Materials Project) gives the theoretical X-ray diffraction stick pattern in this record (Cu Kα).
Kinematic intensities with the Lorentz-polarization factor, no thermal factor.

Largest 8 diffraction maxima, sorted by position, 2θ = 5–70°:
Position (°2θ), Rel. int.
28.08, 100.0
39.88, 39.1
40.37, 37.8
49.06, 7.2
49.89, 20.5
58.04, 13.0
65.35, 18.2
66.04, 17.7

Structure:
```
InSn2Te3
1.0
4.469 0.000 0.000
-2.234 3.870 0.000
0.000 0.000 11.140
In Sn Te
1 2 3
direct
0.000 0.000 0.000
0.333 0.667 0.668
0.667 0.333 0.332
0.000 0.000 0.500
0.333 0.667 0.167
0.667 0.333 0.833
```


3.
For InSnTe2, a DFT-relaxed cell (GGA-PBE, the Materials Project) gives the theoretical X-ray diffraction stick pattern in this record (Cu Kα).
Kinematic intensities with the Lorentz-polarization factor, no thermal factor.

Largest 8 diffraction maxima, sorted by position, 2θ = 5–70°:
Position (°2θ), Rel. int.
28.15, 100.0
40.15, 38.5
40.31, 38.1
49.76, 20.7
50.03, 6.8
58.21, 12.9
65.77, 17.8
66.00, 17.6

Structure:
```
InSnTe2
1.0
2.246 1.297 7.293
-2.246 1.297 7.293
0.000 -2.593 7.293
In Sn Te
1 1 2
direct
0.000 0.000 0.000
0.500 0.500 0.500
0.251 0.251 0.251
0.749 0.749 0.749
```


4.
For Sr3In11, a DFT-relaxed cell (GGA-PBE, the Materials Project) gives the theoretical X-ray diffraction stick pattern in this record (Cu Kα).
Kinematic intensities with the Lorentz-polarization factor, no thermal factor.

Largest 10 diffraction maxima, sorted by position, 2θ = 5–70°:
Position (°2θ), Rel. int.
29.47, 23.7
30.11, 100.0
31.54, 13.7
32.03, 27.1
35.16, 40.2
36.85, 22.0
37.69, 24.0
38.90, 20.6
52.49, 17.9
58.53, 16.6

Structure:
```
Sr3In11
1.0
-2.553 5.661 7.160
2.553 -5.661 7.160
2.553 5.661 -7.160
Sr In
3 11
direct
0.000 0.000 0.000
0.309 0.309 0.000
0.691 0.691 0.000
0.029 0.657 0.372
0.128 0.854 0.274
0.285 0.657 0.628
0.309 0.500 0.809
0.420 0.146 0.274
0.500 0.000 0.500
0.580 0.854 0.726
0.691 0.500 0.191
0.715 0.343 0.372
0.872 0.146 0.726
0.971 0.343 0.628
```


5.
For Sr11In7, a DFT-relaxed cell (GGA-PBE, the Materials Project) gives the theoretical X-ray diffraction stick pattern in this record (Cu Kα).
Kinematic intensities with the Lorentz-polarization factor, no thermal factor.

Largest 10 diffraction maxima, sorted by position, 2θ = 5–70°:
Position (°2θ), Rel. int.
17.18, 23.7
25.89, 40.3
28.23, 47.7
29.56, 100.0
29.99, 97.3
32.85, 51.1
38.68, 50.0
42.92, 37.7
49.98, 29.0
59.14, 22.9

Structure:
```
Sr11In7
1.0
0.000 8.940 8.940
8.940 0.000 8.940
8.940 8.940 0.000
Sr In
22 14
direct
0.000 0.000 0.000
0.000 0.000 0.333
0.000 0.000 0.667
0.000 0.333 0.000
0.000 0.333 0.667
0.000 0.667 0.000
0.000 0.667 0.333
0.112 0.629 0.629
0.333 0.000 0.000
0.333 0.000 0.667
0.333 0.667 0.000
0.371 0.371 0.371
0.371 0.371 0.888
0.371 0.888 0.371
0.500 0.500 0.500
0.629 0.112 0.629
0.629 0.629 0.112
0.629 0.629 0.629
0.667 0.000 0.000
0.667 0.000 0.333
0.667 0.333 0.000
0.888 0.371 0.371
0.189 0.189 0.189
0.189 0.189 0.432
0.189 0.432 0.189
0.282 0.282 0.718
0.282 0.718 0.282
0.282 0.718 0.718
0.432 0.189 0.189
0.568 0.811 0.811
0.718 0.282 0.282
0.718 0.282 0.718
0.718 0.718 0.282
0.811 0.568 0.811
0.811 0.811 0.568
0.811 0.811 0.811
```


6.
For SrIn5, a DFT-relaxed cell (GGA-PBE, the Materials Project) gives the theoretical X-ray diffraction stick pattern in this record (Cu Kα).
Kinematic intensities with the Lorentz-polarization factor, no thermal factor.

Largest 10 diffraction maxima, sorted by position, 2θ = 5–70°:
Position (°2θ), Rel. int.
15.97, 31.9
27.84, 16.9
32.26, 28.3
32.88, 100.0
34.69, 33.9
36.75, 55.0
48.10, 18.1
52.54, 25.7
57.53, 22.7
68.95, 26.0

Structure:
```
SrIn5
1.0
6.409 0.000 0.000
-3.204 5.550 0.000
0.000 0.000 5.172
Sr In
1 5
direct
0.000 0.000 0.000
0.000 0.500 0.500
0.333 0.667 0.000
0.500 0.000 0.500
0.500 0.500 0.500
0.667 0.333 0.000
```


7.
For Sr5In3, a DFT-relaxed cell (GGA-PBE, the Materials Project) gives the theoretical X-ray diffraction stick pattern in this record (Cu Kα).
Kinematic intensities with the Lorentz-polarization factor, no thermal factor.

Largest 10 diffraction maxima, sorted by position, 2θ = 5–70°:
Position (°2θ), Rel. int.
17.82, 18.9
27.82, 100.0
28.61, 16.9
29.64, 47.8
32.07, 48.9
35.45, 12.3
37.13, 14.5
49.04, 12.3
55.38, 19.5
57.76, 17.4

Structure:
```
Sr5In3
1.0
-4.413 4.413 8.252
4.413 -4.413 8.252
4.413 4.413 -8.252
Sr In
10 6
direct
0.000 0.000 0.000
0.030 0.530 0.851
0.179 0.030 0.500
0.321 0.821 0.851
0.470 0.321 0.500
0.500 0.500 0.000
0.530 0.679 0.500
0.679 0.179 0.149
0.821 0.970 0.500
0.970 0.470 0.149
0.116 0.384 0.500
0.250 0.250 0.000
0.384 0.884 0.268
0.616 0.116 0.732
0.750 0.750 0.000
0.884 0.616 0.500
```


8.
For SrIn2Te4, a DFT-relaxed cell (GGA-PBE, the Materials Project) gives the theoretical X-ray diffraction stick pattern in this record (Cu Kα).
Kinematic intensities with the Lorentz-polarization factor, no thermal factor.

Largest 10 diffraction maxima, sorted by position, 2θ = 5–70°:
Position (°2θ), Rel. int.
14.71, 21.6
14.85, 20.7
26.45, 46.4
26.61, 47.2
29.67, 23.2
29.95, 20.6
32.50, 100.0
41.84, 12.5
45.78, 19.2
45.98, 17.9

Structure:
```
SrIn2Te4
1.0
3.625 -5.966 0.000
3.625 5.966 0.000
0.000 0.000 12.044
Sr In Te
2 4 8
direct
0.000 0.000 0.250
0.000 0.000 0.750
0.264 0.731 0.000
0.269 0.736 0.500
0.731 0.264 0.500
0.736 0.269 0.000
0.000 0.500 0.183
0.000 0.500 0.817
0.156 0.292 0.500
0.292 0.156 0.000
0.500 0.000 0.317
0.500 0.000 0.683
0.708 0.844 0.000
0.844 0.708 0.500
```